# Os4Ru3Rh12
Calculated PXRD pattern, Cu Kα (λ = 1.5418 Å). Input: a GGA-PBE-relaxed structure.
No peak broadening, texture or thermal motion is included.

Largest 8 diffraction maxima, most intense first, 2θ from 10° to 90°:
| 2θ (°) | I/Imax |
| --- | --- |
| 48.6 | 100.0 |
| 13.6 | 88.6 |
| 44.1 | 58.7 |
| 77.9 | 51.2 |
| 39.3 | 50.6 |
| 27.5 | 45.8 |
| 19.3 | 35.8 |
| 36.6 | 31.1 |

Atomic structure:
Unit cell a=7.949 b=7.949 c=7.949 alpha=109.47 beta=109.47 gamma=109.47
Element x y z (fractional)
Os 0.000 0.000 0.500
Os 0.000 0.500 0.000
Os 0.500 0.000 0.000
Os 0.500 0.500 0.500
Ru 0.000 0.500 0.500
Ru 0.500 0.000 0.500
Ru 0.500 0.500 0.000
Rh 0.098 0.740 0.358
Rh 0.260 0.358 0.617
Rh 0.260 0.642 0.902
Rh 0.358 0.098 0.740
Rh 0.358 0.617 0.260
Rh 0.383 0.740 0.642
Rh 0.617 0.260 0.358
Rh 0.642 0.383 0.740
Rh 0.642 0.902 0.260
Rh 0.740 0.358 0.098
Rh 0.740 0.642 0.383
Rh 0.902 0.260 0.642

***

# Os3Ru2Rh3
Calculated PXRD pattern, Cu Kα (λ = 1.5418 Å). Input: a GGA-PBE-relaxed structure.
No peak broadening, texture or thermal motion is included.

Largest 8 diffraction maxima, most intense first, 2θ from 10° to 90°:
| 2θ (°) | I/Imax |
| --- | --- |
| 42.0 | 100.0 |
| 39.0 | 85.9 |
| 44.5 | 44.7 |
| 52.0 | 36.0 |
| 44.7 | 30.9 |
| 76.5 | 25.6 |
| 82.5 | 20.0 |
| 80.2 | 16.7 |

Atomic structure:
Unit cell a=7.059 b=7.059 c=2.713 alpha=90.00 beta=90.00 gamma=120.00
Element x y z (fractional)
Os 0.000 0.254 0.000
Os 0.254 0.000 0.000
Os 0.746 0.746 0.000
Ru 0.333 0.667 0.000
Ru 0.667 0.333 0.000
Rh 0.000 0.624 0.500
Rh 0.376 0.376 0.500
Rh 0.624 0.000 0.500

***

# OsRuRh2
Calculated PXRD pattern, Cu Kα (λ = 1.5418 Å). Input: a GGA-PBE-relaxed structure.
No peak broadening, texture or thermal motion is included.

Largest 8 diffraction maxima, most intense first, 2θ from 10° to 90°:
| 2θ (°) | I/Imax |
| --- | --- |
| 40.8 | 100.0 |
| 47.5 | 42.9 |
| 40.6 | 33.6 |
| 47.1 | 21.8 |
| 69.3 | 20.5 |
| 83.8 | 16.4 |
| 69.1 | 13.7 |
| 83.3 | 12.4 |

Atomic structure:
Unit cell a=9.011 b=2.702 c=4.708 alpha=90.00 beta=99.68 gamma=90.00
Element x y z (fractional)
Os 0.000 0.000 0.000
Os 0.500 0.500 0.000
Ru 0.247 0.500 0.240
Ru 0.747 0.000 0.240
Rh 0.252 0.000 0.749
Rh 0.497 0.000 0.494
Rh 0.752 0.500 0.749
Rh 0.997 0.500 0.494

***

# OsRu2Rh4
Calculated PXRD pattern, Cu Kα (λ = 1.5418 Å). Input: a GGA-PBE-relaxed structure.
No peak broadening, texture or thermal motion is included.

Largest 8 diffraction maxima, most intense first, 2θ from 10° to 90°:
| 2θ (°) | I/Imax |
| --- | --- |
| 40.9 | 100.0 |
| 41.1 | 85.6 |
| 43.3 | 58.9 |
| 49.9 | 55.0 |
| 45.2 | 50.9 |
| 35.4 | 33.4 |
| 45.0 | 31.2 |
| 44.1 | 30.5 |

Atomic structure:
Unit cell a=5.289 b=5.331 c=9.181 alpha=84.23 beta=73.34 gamma=60.29
Element x y z (fractional)
Os 0.000 0.000 0.000
Os 0.500 0.000 0.000
Ru 0.000 0.000 0.500
Ru 0.288 0.422 0.500
Ru 0.500 0.500 0.000
Ru 0.712 0.578 0.500
Rh 0.019 0.712 0.258
Rh 0.023 0.221 0.234
Rh 0.468 0.805 0.757
Rh 0.489 0.287 0.742
Rh 0.511 0.713 0.258
Rh 0.532 0.195 0.243
Rh 0.977 0.779 0.766
Rh 0.981 0.288 0.742

***

# Sb8OsRh2
Calculated PXRD pattern, Cu Kα (λ = 1.5418 Å). Input: a GGA-PBE-relaxed structure.
No peak broadening, texture or thermal motion is included.

Largest 8 diffraction maxima, most intense first, 2θ from 10° to 90°:
| 2θ (°) | I/Imax |
| --- | --- |
| 30.1 | 100.0 |
| 13.9 | 76.9 |
| 40.6 | 40.9 |
| 20.0 | 40.1 |
| 34.4 | 36.4 |
| 35.6 | 35.9 |
| 45.6 | 32.5 |
| 46.9 | 30.6 |

Atomic structure:
Unit cell a=5.221 b=7.748 c=7.791 alpha=69.84 beta=88.58 gamma=88.72
Element x y z (fractional)
Sb 0.195 0.374 0.293
Sb 0.196 0.793 0.868
Sb 0.211 0.332 0.834
Sb 0.258 0.902 0.429
Sb 0.742 0.098 0.571
Sb 0.789 0.668 0.166
Sb 0.804 0.207 0.132
Sb 0.805 0.626 0.707
Os 0.500 0.500 0.000
Rh 0.253 0.132 0.628
Rh 0.747 0.868 0.372

***

# Sc8OsRh2
Calculated PXRD pattern, Cu Kα (λ = 1.5418 Å). Input: a GGA-PBE-relaxed structure.
No peak broadening, texture or thermal motion is included.

Largest 8 diffraction maxima, most intense first, 2θ from 10° to 90°:
| 2θ (°) | I/Imax |
| --- | --- |
| 41.4 | 100.0 |
| 23.3 | 86.6 |
| 36.1 | 74.4 |
| 19.6 | 71.8 |
| 34.7 | 57.3 |
| 43.3 | 49.1 |
| 24.3 | 47.2 |
| 25.1 | 43.3 |

Atomic structure:
Unit cell a=7.221 b=7.221 c=5.181 alpha=100.14 beta=100.14 gamma=115.17
Element x y z (fractional)
Sc 0.000 0.000 0.000
Sc 0.032 0.278 0.581
Sc 0.142 0.570 0.180
Sc 0.278 0.032 0.581
Sc 0.438 0.682 0.772
Sc 0.570 0.142 0.180
Sc 0.682 0.438 0.772
Sc 0.723 0.723 0.364
Os 0.361 0.361 0.234
Rh 0.054 0.670 0.689
Rh 0.670 0.054 0.689